Computed X-ray diffraction stick pattern
Compound: Mn3TeO8
Radiation: copper Kα
Structure: a PBE+U-relaxed structure

Most intense lines, 2θ = 10–90°, by angle:
2theta  Rel. int.
17.42  7
17.92  8
18.69  100
32.48  18
35.04  26
36.30  10
40.07  19
43.44  31
46.55  9
58.14  10
58.75  11
62.36  8

Atomic structure:
abc: 5.981 5.981 5.874
angles: 115.71 115.71 59.40
Fractional positions:
Mn  0.000  0.000  0.000
Mn  0.000  0.500  0.500
Mn  0.500  0.000  0.500
Te  0.500  0.500  0.000
O  0.212  0.212  0.260
O  0.242  0.737  0.209
O  0.263  0.758  0.791
O  0.283  0.283  0.749
O  0.717  0.717  0.251
O  0.737  0.242  0.209
O  0.758  0.263  0.791
O  0.788  0.788  0.740